Calculated X-ray powder pattern of Ti2Sb2Pb4O13 for Cu Kα, from a cell relaxed with GGA-PBE.
Peak positions follow from Bragg's law for the DFT cell and can differ from measured ones.

Peak list (6 most intense, 10° ≤ 2θ ≤ 90°, sorted by position)
2theta	d/Å	intensity
14.50	6.109	31
29.22	3.056	100
29.34	3.045	98
33.93	2.642	75
48.76	1.868	57
57.94	1.592	58

Cell and atoms:
abc: 7.4709 7.4709 7.4709
angles: 120.16 119.77 90.06
Element x y z (fractional)
Ti  0.0000  0.2488  0.2488
Ti  0.0000  0.7512  0.7512
Sb  0.4987  0.2490  0.2497
Sb  0.9993  0.2490  0.7503
Pb  0.5012  0.2558  0.7546
Pb  0.5012  0.7465  0.2454
Pb  0.5006  0.7473  0.7533
Pb  0.9940  0.7473  0.2467
O  0.0651  0.5651  0.5000
O  0.0702  0.1784  0.5006
O  0.0702  0.5696  0.8918
O  0.3162  0.3162  0.3859
O  0.3162  0.9302  0.0000
O  0.3207  0.3207  0.0000
O  0.3744  0.8744  0.5000
O  0.6744  0.1744  0.5000
O  0.6778  0.1784  0.1082
O  0.6778  0.5696  0.4994
O  0.9302  0.3162  0.0000
O  0.9302  0.9302  0.6141
O  0.9358  0.9358  0.0000

***

Calculated X-ray powder pattern of TmSbPb2O6 for Cu Kα, from a cell relaxed with GGA-PBE.
Peak positions follow from Bragg's law for the DFT cell and can differ from measured ones.

Peak list (6 most intense, 10° ≤ 2θ ≤ 90°, sorted by position)
2theta	d/Å	intensity
30.26	2.953	99
30.46	2.935	100
43.47	2.082	51
53.76	1.705	23
53.88	1.701	43
87.42	1.116	24

Cell and atoms:
abc: 5.8696 5.8696 5.8696
angles: 60.42 60.42 60.42
Element x y z (fractional)
Tm  0.0000  0.0000  0.0000
Sb  0.5000  0.5000  0.5000
Pb  0.2504  0.2504  0.2504
Pb  0.7496  0.7496  0.7496
O  0.1985  0.7347  0.3262
O  0.2653  0.6738  0.8015
O  0.3262  0.1985  0.7347
O  0.6738  0.8015  0.2653
O  0.7347  0.3262  0.1985
O  0.8015  0.2653  0.6738

***

Calculated X-ray powder pattern of TmSbPb2O6 for Cu Kα, from a cell relaxed with GGA-PBE.
Peak positions follow from Bragg's law for the DFT cell and can differ from measured ones.

Peak list (6 most intense, 10° ≤ 2θ ≤ 90°, sorted by position)
2theta	d/Å	intensity
30.09	2.970	32
30.27	2.953	100
30.48	2.933	66
43.24	2.092	35
43.69	2.072	16
53.82	1.703	28

Cell and atoms:
abc: 5.8658 5.8658 5.9406
angles: 119.90 119.90 60.33
Element x y z (fractional)
Tm  0.0000  0.0000  0.0000
Sb  0.5000  0.5000  0.5000
Pb  0.2468  0.2468  0.7324
Pb  0.7532  0.7532  0.2676
O  0.2175  0.6992  0.6938
O  0.2632  0.2632  0.1922
O  0.3008  0.7825  0.3062
O  0.6992  0.2175  0.6938
O  0.7368  0.7368  0.8078
O  0.7825  0.3008  0.3062

***

Calculated X-ray powder pattern of TmSbPb2O6 for Cu Kα, from a cell relaxed with GGA-PBE.
Peak positions follow from Bragg's law for the DFT cell and can differ from measured ones.

Peak list (6 most intense, 10° ≤ 2θ ≤ 90°, sorted by position)
2theta	d/Å	intensity
29.95	2.983	25
30.38	2.942	100
30.56	2.925	24
43.32	2.089	26
53.45	1.714	23
54.23	1.692	31

Cell and atoms:
abc: 5.8807 5.8807 10.2198
angles: 105.97 105.97 59.66
Element x y z (fractional)
Tm  0.2429  0.7571  0.7500
Tm  0.7571  0.2429  0.2500
Sb  0.0000  0.5000  0.0000
Sb  0.5000  0.0000  0.5000
Pb  0.1085  0.6298  0.3746
Pb  0.3702  0.8915  0.1254
Pb  0.6298  0.1085  0.8746
Pb  0.8915  0.3702  0.6254
O  0.1174  0.6903  0.9170
O  0.1181  0.1839  0.8485
O  0.1839  0.1181  0.3485
O  0.3097  0.8826  0.5830
O  0.3267  0.3632  0.6184
O  0.3632  0.3267  0.1184
O  0.6368  0.6733  0.8816
O  0.6733  0.6368  0.3816
O  0.6903  0.1174  0.4170
O  0.8161  0.8819  0.6515
O  0.8819  0.8161  0.1515
O  0.8826  0.3097  0.0830

***

Calculated X-ray powder pattern of Zr2Sb2Pb4O13 for Cu Kα, from a cell relaxed with GGA-PBE.
Peak positions follow from Bragg's law for the DFT cell and can differ from measured ones.

Peak list (6 most intense, 10° ≤ 2θ ≤ 90°, sorted by position)
2theta	d/Å	intensity
28.48	3.134	100
28.63	3.118	98
33.13	2.704	51
47.47	1.915	58
56.27	1.635	60
56.53	1.628	30

Cell and atoms:
abc: 7.6620 7.6620 7.6620
angles: 120.36 119.86 89.81
Element x y z (fractional)
Zr  0.2491  0.0000  0.2491
Zr  0.7509  0.0000  0.7509
Sb  0.2495  0.0000  0.7505
Sb  0.2495  0.4989  0.2495
Pb  0.2496  0.4993  0.7502
Pb  0.7493  0.0012  0.2519
Pb  0.7493  0.4974  0.7481
Pb  0.7491  0.4993  0.2498
O  0.1808  0.6808  0.5000
O  0.1819  0.0774  0.5150
O  0.1819  0.6669  0.1045
O  0.3143  0.3291  0.3905
O  0.3143  0.9237  0.9852
O  0.3166  0.3166  0.0000
O  0.5624  0.0774  0.8955
O  0.5624  0.6669  0.4850
O  0.5810  0.0810  0.5000
O  0.8771  0.3771  0.5000
O  0.9216  0.9216  0.0000
O  0.9386  0.3291  0.0148
O  0.9386  0.9237  0.6095

***

Calculated X-ray powder pattern of ScTaPb2O6 for Cu Kα, from a cell relaxed with GGA-PBE.
Peak positions follow from Bragg's law for the DFT cell and can differ from measured ones.

Peak list (6 most intense, 10° ≤ 2θ ≤ 90°, sorted by position)
2theta	d/Å	intensity
30.80	2.903	100
44.12	2.053	28
54.77	1.676	41
64.17	1.451	18
72.86	1.298	18
89.28	1.097	23

Cell and atoms:
abc: 5.8057 5.8057 5.8057
angles: 60.00 60.00 60.00
Element x y z (fractional)
Sc  0.0000  0.0000  0.0000
Ta  0.5000  0.5000  0.5000
Pb  0.2500  0.2500  0.2500
Pb  0.7500  0.7500  0.7500
O  0.2562  0.2562  0.7438
O  0.2562  0.7438  0.2562
O  0.2562  0.7438  0.7438
O  0.7438  0.2562  0.2562
O  0.7438  0.2562  0.7438
O  0.7438  0.7438  0.2562